# 1
Structure and computed PXRD pattern of YGeTe2N (a DFT-relaxed cell (GGA-PBE, Alexandria); Cu Kα).
No peak broadening, texture or thermal motion is included.

Main lines, by angle (10 to 90 degrees two-theta):
23.72°, intensity 28, (0 0 1)
28.65°, intensity 34, (1 0 1)
32.01°, intensity 100, (2 0 0)
32.91°, intensity 78, (1 1 1)
40.23°, intensity 28, (2 0 1)
43.49°, intensity 22, (2 1 1)
45.90°, intensity 36, (2 2 0)
48.53°, intensity 15, (0 0 2)
57.63°, intensity 30, (3 1 1)
59.33°, intensity 33, (2 0 2)
69.02°, intensity 21, (2 2 2)
76.13°, intensity 17, (4 2 0)

Structural model:
```
data_YGeTe2N
_space_group_name_H-M_alt 'P 4/m m m'
_space_group_IT_number 123
_space_group_name_Hall '-P 4 2'
_cell_length_a 5.592
_cell_length_b 5.592
_cell_length_c 3.752
_cell_angle_alpha 90.00
_cell_angle_beta 90.00
_cell_angle_gamma 90.00
loop_
_atom_site_label
_atom_site_fract_x
_atom_site_fract_y
_atom_site_fract_z
Y1 0.000 0.000 0.000
Ge1 0.500 0.500 0.500
Te1 0.000 0.500 0.500
N1 0.500 0.500 0.000
```


# 2
Structure and computed PXRD pattern of Mn2Co9N8 (a DFT-relaxed cell (GGA-PBE, Alexandria); Cu Kα).
No peak broadening, texture or thermal motion is included.

Main lines, by angle (10 to 90 degrees two-theta):
36.44°, intensity 14, (3 1 1)
38.24°, intensity 11, (6 0 0)
38.60°, intensity 95, (5 1 -1)
40.34°, intensity 100, (1 1 2)
43.30°, intensity 12, (5 1 -2)
44.27°, intensity 59, (4 0 -3)
45.72°, intensity 43, (6 0 1)
47.68°, intensity 61, (0 2 0)
67.09°, intensity 29, (4 2 -3)
67.95°, intensity 12, (2 0 4)
68.20°, intensity 22, (6 2 1)
87.21°, intensity 12, (2 2 4)

Structural model:
```
data_Mn2Co9N8
_space_group_name_H-M_alt 'C 1 2/m 1'
_space_group_IT_number 12
_cell_length_a 14.919
_cell_length_b 3.815
_cell_length_c 6.338
_cell_angle_alpha 90.00
_cell_angle_beta 108.81
_cell_angle_gamma 90.00
loop_
_space_group_symop_operation_xyz
'x,y,z'
'-x,-y,-z'
'-x,y,-z'
'x,-y,z'
'x+1/2,y+1/2,z'
'-x+1/2,-y+1/2,-z'
'-x+1/2,y+1/2,-z'
'x+1/2,-y+1/2,z'
loop_
_atom_site_label
_atom_site_fract_x
_atom_site_fract_y
_atom_site_fract_z
Mn1 0.229 0.000 0.172
Co1 0.000 0.500 0.500
Co2 0.007 0.000 0.209
Co3 0.099 0.500 0.980
Co4 0.146 0.000 0.663
Co5 0.170 0.500 0.422
N1 0.038 0.500 0.228
N2 0.120 0.000 0.940
N3 0.135 0.500 0.700
N4 0.193 0.000 0.414
```